# KMg14Sb
Theoretical powder XRD pattern, a wavelength of 1.5418 Å. Input: the PBE geometry in the Materials Project.
Peak positions follow from Bragg's law for the DFT cell and can differ from measured ones.

Principal peaks in the range 10° ≤ 2θ ≤ 90°, sorted by position:
(1 0 2), 2θ = 17.68°, I 168
(1 1 1), 2θ = 17.83°, I 181
(0 2 2), 2θ = 31.76°, I 251
(4 0 0), 2θ = 33.85°, I 381
(2 0 4), 2θ = 35.80°, I 485
(2 2 2), 2θ = 36.11°, I 1000
(4 2 2), 2θ = 47.10°, I 159
(0 2 6), 2θ = 56.15°, I 169
(6 2 2), 2θ = 62.05°, I 197
(4 2 6), 2θ = 67.20°, I 187

Cell and atoms:
Cell lengths 10.592, 6.483, 11.390 Å; angles 90.00, 90.00, 90.00 degrees
Space group Amm2 (No. 38)
Asymmetric unit:
K 0.000 0.000 0.000
Mg 0.000 0.245 0.250
Mg 0.248 0.000 0.668
Mg 0.261 0.246 0.415
Mg 0.262 0.000 0.171
Mg 0.500 0.000 0.000
Mg 0.500 0.000 0.501
Mg 0.500 0.248 0.750
Sb 0.000 0.000 0.494